Starting from the GGA-PBE geometry in Alexandria, the powder diffractogram of Cs2RbAsS4 was simulated for CuKα.

abc: 18.162 17.383 7.540
angles: 83.61 72.02 24.37
Element x y z (fractional)
Cs (0.075, 0.075, 0.675)
Cs (0.325, 0.325, 0.925)
Cs (0.675, 0.675, 0.075)
Cs (0.925, 0.925, 0.325)
Rb (0.125, 0.125, 0.125)
Rb (0.875, 0.875, 0.875)
As (0.375, 0.375, 0.375)
As (0.625, 0.625, 0.625)
S (0.076, 0.599, 0.470)
S (0.355, 0.470, 0.599)
S (0.401, 0.924, 0.645)
S (0.470, 0.355, 0.076)
S (0.530, 0.645, 0.924)
S (0.599, 0.076, 0.355)
S (0.645, 0.530, 0.401)
S (0.924, 0.401, 0.530)

Principal peaks in the range 2θ = 10–80°, sorted by position:
d = 8.479 Å, I 1000
d = 5.690 Å, I 295
d = 4.725 Å, I 151
d = 4.266 Å, I 231
d = 3.576 Å, I 155
d = 3.294 Å, I 612
d = 3.069 Å, I 185
d = 3.007 Å, I 243
d = 2.536 Å, I 207
d = 1.999 Å, I 162


Starting from the GGA-PBE geometry in Alexandria, the powder diffractogram of ZnSnPd4 was simulated for CuKα.

abc: 7.420 3.002 17.311
angles: 90.00 90.00 90.00
Element x y z (fractional)
Zn (0.249, 0.250, 0.054)
Zn (0.251, 0.750, 0.554)
Zn (0.749, 0.250, 0.446)
Zn (0.751, 0.750, 0.946)
Sn (0.226, 0.250, 0.814)
Sn (0.274, 0.750, 0.314)
Sn (0.726, 0.250, 0.686)
Sn (0.774, 0.750, 0.186)
Pd (0.037, 0.750, 0.433)
Pd (0.043, 0.750, 0.704)
Pd (0.109, 0.750, 0.942)
Pd (0.135, 0.750, 0.166)
Pd (0.365, 0.250, 0.666)
Pd (0.391, 0.250, 0.442)
Pd (0.457, 0.250, 0.204)
Pd (0.463, 0.250, 0.933)
Pd (0.537, 0.750, 0.067)
Pd (0.543, 0.750, 0.796)
Pd (0.609, 0.750, 0.558)
Pd (0.635, 0.750, 0.334)
Pd (0.865, 0.250, 0.834)
Pd (0.891, 0.250, 0.058)
Pd (0.957, 0.250, 0.296)
Pd (0.963, 0.250, 0.567)

Principal peaks in the range 2θ = 10–80°, sorted by position:
d = 2.448 Å, I 176
d = 2.341 Å, I 1000
d = 2.334 Å, I 271
d = 2.313 Å, I 153
d = 2.268 Å, I 189
d = 2.164 Å, I 679
d = 2.147 Å, I 588
d = 1.501 Å, I 166
d = 1.233 Å, I 138
d = 1.230 Å, I 191


Starting from the GGA-PBE geometry in Alexandria, the powder diffractogram of Be17VRe was simulated for CuKα.

abc: 5.458 5.458 5.458
angles: 82.96 82.96 82.96
Element x y z (fractional)
Be (0.053, 0.053, 0.053)
Be (0.152, 0.152, 0.656)
Be (0.152, 0.656, 0.152)
Be (0.154, 0.456, 0.850)
Be (0.154, 0.850, 0.456)
Be (0.255, 0.255, 0.255)
Be (0.318, 0.803, 0.803)
Be (0.456, 0.154, 0.850)
Be (0.456, 0.850, 0.154)
Be (0.503, 0.503, 0.995)
Be (0.503, 0.995, 0.503)
Be (0.656, 0.152, 0.152)
Be (0.803, 0.318, 0.803)
Be (0.803, 0.803, 0.318)
Be (0.850, 0.154, 0.456)
Be (0.850, 0.456, 0.154)
Be (0.995, 0.503, 0.503)
V (0.814, 0.814, 0.814)
Re (0.491, 0.491, 0.491)

Principal peaks in the range 2θ = 10–80°, sorted by position:
d = 5.385 Å, I 1000
d = 4.034 Å, I 488
d = 3.615 Å, I 704
d = 3.516 Å, I 224
d = 3.002 Å, I 268
d = 2.521 Å, I 664
d = 2.309 Å, I 260
d = 2.159 Å, I 210
d = 2.087 Å, I 244
d = 1.795 Å, I 347


Starting from the GGA-PBE geometry in Alexandria, the powder diffractogram of Ba3Ir2O8 was simulated for CuKα.

abc: 7.762 7.762 7.762
angles: 46.96 46.96 46.96
Element x y z (fractional)
Ba (0.000, 0.000, 0.000)
Ba (0.214, 0.214, 0.214)
Ba (0.786, 0.786, 0.786)
Ir (0.430, 0.430, 0.430)
Ir (0.570, 0.570, 0.570)
O (0.216, 0.734, 0.734)
O (0.266, 0.266, 0.784)
O (0.266, 0.784, 0.266)
O (0.335, 0.335, 0.335)
O (0.665, 0.665, 0.665)
O (0.734, 0.216, 0.734)
O (0.734, 0.734, 0.216)
O (0.784, 0.266, 0.266)

Principal peaks in the range 2θ = 10–80°, sorted by position:
d = 5.185 Å, I 164
d = 3.273 Å, I 573
d = 3.093 Å, I 1000
d = 2.299 Å, I 201
d = 2.248 Å, I 275
d = 1.844 Å, I 307
d = 1.818 Å, I 228
d = 1.786 Å, I 204
d = 1.546 Å, I 165
d = 1.410 Å, I 153